Structure and simulated XRD peak list of MgCrBiO5 (a GGA+U-relaxed structure; Cu Kα (weighted mean of Kα1 and Kα2)).

Crystal structure
```
data_MgCrBiO5
_chemical_formula_sum 'Mg4 Cr4 Bi4 O20'
_cell_length_a 5.386
_cell_length_b 11.680
_cell_length_c 7.964
_cell_angle_alpha 90.00
_cell_angle_beta 112.52
_cell_angle_gamma 90.00
_symmetry_space_group_name_H-M 'P 1 21/c 1'
_symmetry_Int_Tables_number 14
loop_
_symmetry_equiv_pos_as_xyz
'x,y,z'
'-x,-y,-z'
'-x,y+1/2,-z+1/2'
'x,-y+1/2,z+1/2'
loop_
_atom_site_label
_atom_site_fract_x
_atom_site_fract_y
_atom_site_fract_z
Mg1 0.050 0.078 0.176
Cr1 0.311 0.647 0.030
Bi1 0.442 0.099 0.826
O1 0.183 0.714 0.482
O2 0.200 0.568 0.171
O3 0.252 0.574 0.829
O4 0.258 0.026 0.015
O5 0.355 0.176 0.350
```

Top 8 peaks for 2θ = 15–90°, by angle:
- d 4.975, 2θ = 17.83°, rel. 84
- d 4.699, 2θ = 18.88°, rel. 37
- d 4.574, 2θ = 19.41°, rel. 67
- d 3.540, 2θ = 25.15°, rel. 79
- d 3.027, 2θ = 29.51°, rel. 100
- d 2.920, 2θ = 30.62°, rel. 29
- d 2.688, 2θ = 33.34°, rel. 39
- d 2.621, 2θ = 34.21°, rel. 35